(1)
Computed powder XRD pattern
Compound: TmBe2GeO6
Radiation: copper Kα
Structure: a crystal structure in Alexandria, relaxed with PBE
No peak broadening, texture or thermal motion is included.

Structural model:
```
data_TmBe2GeO6
_cell_length_a 9.9491
_cell_length_b 8.4668
_cell_length_c 6.0173
_cell_angle_alpha 90.00
_cell_angle_beta 120.22
_cell_angle_gamma 90.00
_space_group_name_H-M_alt 'C 1 2/c 1'
_space_group_IT_number 15
loop_
_space_group_symop_operation_xyz
'x,y,z'
'-x,-y,-z'
'-x,y,-z+1/2'
'x,-y,z+1/2'
'x+1/2,y+1/2,z'
'-x+1/2,-y+1/2,-z'
'-x+1/2,y+1/2,-z+1/2'
'x+1/2,-y+1/2,z+1/2'
loop_
_atom_site_label
_atom_site_type_symbol
_atom_site_fract_x
_atom_site_fract_y
_atom_site_fract_z
_atom_site_occupancy
Tm1 Tm 0.0000 0.1978 0.2500 1
Be1 Be 0.1849 0.4435 0.1489 1
Ge1 Ge 0.0000 0.1766 0.7500 1
O1 O 0.1118 0.2745 0.0374 1
O2 O 0.1245 0.0617 0.6802 1
O3 O 0.1382 0.4316 0.4055 1
```

Top 10 peaks for 5° ≤ 2θ ≤ 70°, by angle:
(hkl)	2theta	d [Å]	I (rel.)
1 1 0	14.68	6.032	51
1 1 -1	18.17	4.883	34
2 0 0	20.66	4.298	100
0 2 0	20.98	4.233	41
2 2 0	29.62	3.016	57
2 0 -2	29.90	2.988	35
1 3 0	33.42	2.681	45
0 0 2	34.50	2.600	27
4 2 -2	44.39	2.041	26
3 3 -2	46.31	1.961	32

***

(2)
Computed powder XRD pattern
Compound: Be4GeOs
Radiation: copper Kα
Structure: a crystal structure in Alexandria, relaxed with PBE
No peak broadening, texture or thermal motion is included.

Structural model:
```
data_Be4GeOs
_cell_length_a 6.1672
_cell_length_b 6.1672
_cell_length_c 6.1672
_cell_angle_alpha 90.00
_cell_angle_beta 90.00
_cell_angle_gamma 90.00
_space_group_name_H-M_alt 'F -4 3 m'
_space_group_IT_number 216
_space_group_name_Hall 'F -4 2 3'
loop_
_atom_site_label
_atom_site_type_symbol
_atom_site_fract_x
_atom_site_fract_y
_atom_site_fract_z
_atom_site_occupancy
Be1 Be 0.1255 0.1255 0.1255 1
Ge1 Ge 0.2500 0.2500 0.7500 1
Os1 Os 0.0000 0.0000 0.5000 1
```

Top 8 peaks for 5° ≤ 2θ ≤ 70°, by angle:
(hkl)	2theta	d [Å]	I (rel.)
1 1 1	25.01	3.561	100
2 0 0	28.96	3.084	18
2 2 0	41.41	2.180	77
3 1 1	48.99	1.859	62
2 2 2	51.32	1.780	5
4 0 0	60.00	1.542	11
3 3 1	66.03	1.415	21
4 2 0	67.98	1.379	7

***

(3)
Computed powder XRD pattern
Compound: U2Be4Ge3Os
Radiation: copper Kα
Structure: a crystal structure in Alexandria, relaxed with PBE
No peak broadening, texture or thermal motion is included.

Structural model:
```
data_U2Be4Ge3Os
_cell_length_a 3.9275
_cell_length_b 3.9275
_cell_length_c 9.6921
_cell_angle_alpha 90.00
_cell_angle_beta 90.00
_cell_angle_gamma 90.00
_space_group_name_H-M_alt 'P -4 m 2'
_space_group_IT_number 115
loop_
_space_group_symop_operation_xyz
'x,y,z'
'y,-x,-z'
'-x,-y,z'
'-y,x,-z'
'-x,y,z'
'-y,-x,-z'
'x,-y,z'
'y,x,-z'
loop_
_atom_site_label
_atom_site_type_symbol
_atom_site_fract_x
_atom_site_fract_y
_atom_site_fract_z
_atom_site_occupancy
U1 U 0.0000 0.5000 0.2435 1
Be1 Be 0.0000 0.0000 0.5000 1
Be2 Be 0.0000 0.5000 0.8679 1
Be3 Be 0.5000 0.5000 0.5000 1
Ge1 Ge 0.0000 0.0000 0.0000 1
Ge2 Ge 0.0000 0.5000 0.6327 1
Os1 Os 0.5000 0.5000 0.0000 1
```

Top 10 peaks for 5° ≤ 2θ ≤ 70°, by angle:
(hkl)	2theta	d [Å]	I (rel.)
0 0 1	9.12	9.692	35
1 0 1	24.45	3.640	64
1 1 0	32.23	2.777	16
1 1 1	33.57	2.670	25
1 0 3	36.00	2.495	63
1 1 2	37.32	2.410	100
2 0 0	46.23	1.964	39
1 0 5	52.66	1.738	24
2 1 1	52.98	1.728	17
2 1 3	59.95	1.543	29

***

(4)
Computed powder XRD pattern
Compound: PaBe2TcGe2
Radiation: copper Kα
Structure: a crystal structure in Alexandria, relaxed with PBE
No peak broadening, texture or thermal motion is included.

Structural model:
```
data_PaBe2TcGe2
_cell_length_a 3.9942
_cell_length_b 3.9942
_cell_length_c 6.5500
_cell_angle_alpha 90.00
_cell_angle_beta 90.00
_cell_angle_gamma 120.00
_space_group_name_H-M_alt 'P -3 m 1'
_space_group_IT_number 164
_space_group_name_Hall '-P 3 2"'
loop_
_atom_site_label
_atom_site_type_symbol
_atom_site_fract_x
_atom_site_fract_y
_atom_site_fract_z
_atom_site_occupancy
Pa1 Pa 0.0000 0.0000 0.0000 1
Be1 Be 0.3333 0.6667 0.3297 1
Tc1 Tc 0.0000 0.0000 0.5000 1
Ge1 Ge 0.3333 0.6667 0.7152 1
```

Top 10 peaks for 5° ≤ 2θ ≤ 70°, by angle:
(hkl)	2theta	d [Å]	I (rel.)
1 0 0	25.76	3.459	50
0 0 2	27.23	3.275	8
1 0 1	29.20	3.059	42
0 1 2	37.83	2.378	100
1 1 0	45.41	1.997	44
1 1 2	53.76	1.705	8
0 2 1	54.91	1.672	8
2 0 2	60.54	1.529	25
1 0 4	62.78	1.480	13
1 1 3	63.09	1.474	8

***

(5)
Computed powder XRD pattern
Compound: Pm2BeGe2Pd4
Radiation: copper Kα
Structure: a crystal structure in Alexandria, relaxed with PBE
No peak broadening, texture or thermal motion is included.

Structural model:
```
data_Pm2BeGe2Pd4
_cell_length_a 6.3177
_cell_length_b 6.3177
_cell_length_c 8.3103
_cell_angle_alpha 90.00
_cell_angle_beta 90.00
_cell_angle_gamma 90.00
_space_group_name_H-M_alt 'I 4/m m m'
_space_group_IT_number 139
_space_group_name_Hall '-I 4 2'
loop_
_atom_site_label
_atom_site_type_symbol
_atom_site_fract_x
_atom_site_fract_y
_atom_site_fract_z
_atom_site_occupancy
Pm1 Pm 0.0000 0.5000 0.2500 1
Be1 Be 0.0000 0.0000 0.0000 1
Ge1 Ge 0.0000 0.0000 0.3016 1
Pd1 Pd 0.2395 0.2395 0.5000 1
```

Top 10 peaks for 5° ≤ 2θ ≤ 70°, by angle:
(hkl)	2theta	d [Å]	I (rel.)
1 0 1	17.63	5.029	4
1 1 0	19.87	4.467	5
1 1 2	29.36	3.043	8
2 0 2	35.70	2.515	100
2 2 0	40.38	2.234	39
0 0 4	43.56	2.078	12
2 1 3	45.88	1.978	4
1 1 4	48.31	1.884	4
4 0 0	58.43	1.579	13
2 2 4	60.90	1.521	17

***

(6)
Computed powder XRD pattern
Compound: Pm2BeGePd6
Radiation: copper Kα
Structure: a crystal structure in Alexandria, relaxed with PBE
No peak broadening, texture or thermal motion is included.

Structural model:
```
data_Pm2BeGePd6
_cell_length_a 5.7920
_cell_length_b 5.9210
_cell_length_c 6.9865
_cell_angle_alpha 67.79
_cell_angle_beta 65.90
_cell_angle_gamma 60.91
_space_group_name_H-M_alt 'P -1'
_space_group_IT_number 2
loop_
_space_group_symop_operation_xyz
'x,y,z'
'-x,-y,-z'
loop_
_atom_site_label
_atom_site_type_symbol
_atom_site_fract_x
_atom_site_fract_y
_atom_site_fract_z
_atom_site_occupancy
Pm1 Pm 0.2275 0.2461 0.3149 1
Be1 Be 0.0000 0.0000 0.0000 1
Ge1 Ge 0.5000 0.5000 0.5000 1
Pd1 Pd 0.2339 0.6768 0.8360 1
Pd2 Pd 0.2457 0.2219 0.7792 1
Pd3 Pd 0.2740 0.7823 0.2026 1
```

Top 10 peaks for 5° ≤ 2θ ≤ 70°, by angle:
(hkl)	2theta	d [Å]	I (rel.)
0 0 2	28.73	3.107	63
1 1 -1	29.38	3.040	18
1 -1 1	32.98	2.716	22
0 2 0	35.62	2.521	54
2 0 0	36.97	2.431	61
2 2 2	37.20	2.417	68
1 1 3	38.67	2.328	23
2 0 2	40.22	2.242	100
0 2 2	40.70	2.217	58
2 -2 0	62.65	1.483	18

***

(7)
Computed powder XRD pattern
Compound: PrBeGe2Pd
Radiation: copper Kα
Structure: a crystal structure in Alexandria, relaxed with PBE
No peak broadening, texture or thermal motion is included.

Structural model:
```
data_PrBeGe2Pd
_cell_length_a 4.1469
_cell_length_b 4.1469
_cell_length_c 10.5265
_cell_angle_alpha 90.00
_cell_angle_beta 90.00
_cell_angle_gamma 90.00
_space_group_name_H-M_alt 'I -4 m 2'
_space_group_IT_number 119
_space_group_name_Hall 'I -4 -2'
loop_
_atom_site_label
_atom_site_type_symbol
_atom_site_fract_x
_atom_site_fract_y
_atom_site_fract_z
_atom_site_occupancy
Pr1 Pr 0.0000 0.0000 0.0000 1
Be1 Be 0.0000 0.5000 0.2500 1
Ge1 Ge 0.0000 0.0000 0.3785 1
Pd1 Pd 0.0000 0.5000 0.7500 1
```

Top 10 peaks for 5° ≤ 2θ ≤ 70°, by angle:
(hkl)	2theta	d [Å]	I (rel.)
1 0 1	23.05	3.858	43
1 1 0	30.49	2.932	29
1 0 3	33.45	2.679	100
1 1 2	35.03	2.562	89
2 0 0	43.65	2.073	57
1 0 5	48.49	1.877	40
2 1 3	56.09	1.640	45
1 1 6	61.60	1.506	14
2 2 0	63.45	1.466	19
2 1 5	67.28	1.392	29

***

(8)
Computed powder XRD pattern
Compound: Y2Be3Ge4Pd
Radiation: copper Kα
Structure: a crystal structure in Alexandria, relaxed with PBE
No peak broadening, texture or thermal motion is included.

Structural model:
```
data_Y2Be3Ge4Pd
_cell_length_a 4.0455
_cell_length_b 4.0455
_cell_length_c 10.0046
_cell_angle_alpha 90.00
_cell_angle_beta 90.00
_cell_angle_gamma 90.00
_space_group_name_H-M_alt 'P -4 m 2'
_space_group_IT_number 115
loop_
_space_group_symop_operation_xyz
'x,y,z'
'y,-x,-z'
'-x,-y,z'
'-y,x,-z'
'-x,y,z'
'-y,-x,-z'
'x,-y,z'
'y,x,-z'
loop_
_atom_site_label
_atom_site_type_symbol
_atom_site_fract_x
_atom_site_fract_y
_atom_site_fract_z
_atom_site_occupancy
Y1 Y 0.0000 0.5000 0.2498 1
Be1 Be 0.0000 0.0000 0.0000 1
Be2 Be 0.0000 0.5000 0.6313 1
Ge1 Ge 0.0000 0.0000 0.5000 1
Ge2 Ge 0.0000 0.5000 0.8544 1
Ge3 Ge 0.5000 0.5000 0.5000 1
Pd1 Pd 0.5000 0.5000 0.0000 1
```

Top 10 peaks for 5° ≤ 2θ ≤ 70°, by angle:
(hkl)	2theta	d [Å]	I (rel.)
1 0 1	23.72	3.750	17
1 0 2	28.37	3.146	23
1 0 3	34.87	2.573	33
0 0 4	35.90	2.501	10
1 1 2	36.17	2.483	100
2 0 0	44.81	2.023	42
1 1 4	48.34	1.883	9
1 0 5	50.91	1.794	20
2 1 3	58.00	1.590	15
2 2 0	65.23	1.430	14